Simulated PXRD pattern
Compound: ZnCdSb2
Radiation: CuKα
Structure: a crystal structure in Alexandria, relaxed with PBE

Principal peaks in the range 2θ = 10–90°, by intensity:
2θ = 34.32°, d 2.613, rel. 100; 2θ = 34.75°, d 2.582, rel. 27; 2θ = 62.02°, d 1.496, rel. 17; 2θ = 38.77°, d 2.323, rel. 13; 2θ = 45.38°, d 1.999, rel. 13; 2θ = 58.40°, d 1.580, rel. 12

Atomic structure:
```
ZnCdSb2
1.0
1.9986 -2.5815 0.0000
1.9986 2.5815 0.0000
0.0000 0.0000 9.2915
Zn Cd Sb
1 1 2
Direct
0.0000 0.0000 0.0000
0.5000 0.5000 0.7881
0.0000 0.0000 0.5248
0.5000 0.5000 0.2233
```

=====

Simulated PXRD pattern
Compound: La6Pr2SmTm
Radiation: CuKα
Structure: a crystal structure in Alexandria, relaxed with PBE

Principal peaks in the range 2θ = 10–90°, by intensity:
2θ = 30.89°, d 2.894, rel. 100; 2θ = 31.04°, d 2.881, rel. 89; 2θ = 28.71°, d 3.109, rel. 84; 2θ = 29.21°, d 3.057, rel. 72; 2θ = 27.35°, d 3.261, rel. 62; 2θ = 31.87°, d 2.808, rel. 53

Atomic structure:
```
La6Pr2SmTm
1.0
4.9654 -7.7102 0.0000
4.9654 7.7102 0.0000
-0.0058 0.0000 9.3192
La Pr Sm Tm
12 4 2 2
Direct
0.0299 0.4661 0.6813
0.0771 0.7768 0.9074
0.2232 0.9229 0.5926
0.2799 0.5710 0.0936
0.4290 0.7201 0.4064
0.4661 0.0299 0.1813
0.5339 0.9701 0.8187
0.5710 0.2799 0.5936
0.7201 0.4290 0.9064
0.7768 0.0771 0.4074
0.9229 0.2232 0.0926
0.9701 0.5339 0.3187
0.2066 0.2955 0.4365
0.2955 0.2066 0.9365
0.7045 0.7934 0.0635
0.7934 0.7045 0.5635
0.0689 0.9311 0.2500
0.9311 0.0689 0.7500
0.4308 0.5692 0.7500
0.5692 0.4308 0.2500
```

=====

Simulated PXRD pattern
Compound: BPdPt
Radiation: CuKα
Structure: a crystal structure in Alexandria, relaxed with PBE

Principal peaks in the range 2θ = 10–90°, by intensity:
2θ = 40.44°, d 2.231, rel. 100; 2θ = 34.31°, d 2.614, rel. 40; 2θ = 31.41°, d 2.848, rel. 39; 2θ = 47.19°, d 1.926, rel. 27; 2θ = 65.59°, d 1.423, rel. 25; 2θ = 23.09°, d 3.852, rel. 23

Atomic structure:
```
BPdPt
1.0
5.4725 0.0000 0.0000
0.0000 2.8481 2.6139
0.0000 -2.8481 2.6139
B Pd Pt
2 2 2
Direct
0.2500 0.2316 0.7684
0.7500 0.7684 0.2316
0.2500 0.4192 0.2832
0.7500 0.2832 0.4192
0.0000 0.8187 0.8187
0.5000 0.8187 0.8187
```

=====

Simulated PXRD pattern
Compound: La2MgNi4Sb3
Radiation: CuKα
Structure: a crystal structure in Alexandria, relaxed with PBE

Principal peaks in the range 2θ = 10–90°, by intensity:
2θ = 33.55°, d 2.671, rel. 100; 2θ = 33.05°, d 2.710, rel. 88; 2θ = 40.84°, d 2.209, rel. 78; 2θ = 53.51°, d 1.712, rel. 44; 2θ = 28.57°, d 3.125, rel. 33; 2θ = 48.80°, d 1.866, rel. 32

Atomic structure:
```
La2MgNi4Sb3
1.0
4.4188 0.0000 0.0000
0.0000 4.4188 0.0000
0.0000 0.0000 10.2947
La Mg Ni Sb
2 1 4 3
Direct
0.0000 0.5000 0.2358
0.5000 0.0000 0.7642
0.0000 0.0000 0.5000
0.0000 0.0000 0.0000
0.0000 0.5000 0.6287
0.5000 0.0000 0.3713
0.5000 0.5000 0.0000
0.0000 0.5000 0.8717
0.5000 0.0000 0.1283
0.5000 0.5000 0.5000
```